1.
Theoretical powder XRD pattern
Compound: KPrCrO4
Radiation: CuKα
Structure: a structure optimized by DFT (GGA+U)

Peak list (6 most intense, 2θ = 10–90°, low angle first)
two_theta  intensity
12.34  100.0
19.44  25.8
21.47  29.8
30.18  32.4
36.29  26.1
37.24  24.9

Atomic structure:
Lattice parameters (Å, degrees): 6.031 5.923 7.475 90.00 106.32 90.00
Fractional positions:
1 K 0.183 0.250 0.420
2 K 0.817 0.750 0.580
3 Pr 0.293 0.250 0.951
4 Pr 0.707 0.750 0.049
5 Cr 0.245 0.750 0.176
6 Cr 0.755 0.250 0.824
7 O 0.051 0.750 0.316
8 O 0.061 0.750 0.943
9 O 0.452 0.520 0.188
10 O 0.452 0.980 0.188
11 O 0.548 0.020 0.812
12 O 0.548 0.480 0.812
13 O 0.939 0.250 0.057
14 O 0.949 0.250 0.684


2.
Theoretical powder XRD pattern
Compound: KPuCrO4
Radiation: CuKα
Structure: a structure optimized by DFT (GGA+U)

Peak list (6 most intense, 2θ = 10–90°, low angle first)
two_theta  intensity
16.76  100.0
30.12  66.2
31.58  29.1
32.17  31.7
37.53  25.9
55.18  24.4

Atomic structure:
Lattice parameters (Å, degrees): 6.682 6.682 6.682 122.32 115.13 92.33
Fractional positions:
1 K 0.395 0.145 0.250
2 K 0.605 0.855 0.750
3 Pu 0.000 0.500 0.500
4 Pu 0.500 0.500 0.000
5 Cr 0.000 0.000 0.500
6 Cr 0.000 0.500 0.000
7 O 0.170 0.735 0.435
8 O 0.201 0.265 0.935
9 O 0.225 0.265 0.540
10 O 0.225 0.685 0.960
11 O 0.775 0.315 0.040
12 O 0.775 0.735 0.460
13 O 0.799 0.735 0.065
14 O 0.830 0.265 0.565


3.
Theoretical powder XRD pattern
Compound: K3CrRe2O9
Radiation: CuKα
Structure: a structure optimized by DFT (GGA+U)

Peak list (6 most intense, 2θ = 10–90°, low angle first)
two_theta  intensity
22.56  69.1
32.12  100.0
46.07  34.1
51.89  27.5
57.25  30.0
76.44  17.4

Atomic structure:
Lattice parameters (Å, degrees): 5.569 5.569 6.835 90.00 90.00 120.00
Fractional positions:
1 K 0.000 0.000 0.000
2 K 0.333 0.667 0.663
3 K 0.667 0.333 0.337
4 Cr 0.000 0.000 0.500
5 Re 0.333 0.667 0.172
6 Re 0.667 0.333 0.828
7 O 0.000 0.500 0.000
8 O 0.170 0.341 0.326
9 O 0.170 0.830 0.326
10 O 0.341 0.170 0.674
11 O 0.500 0.000 0.000
12 O 0.500 0.500 0.000
13 O 0.659 0.830 0.326
14 O 0.830 0.170 0.674
15 O 0.830 0.659 0.674


4.
Theoretical powder XRD pattern
Compound: K2SrCrO4
Radiation: CuKα
Structure: a structure optimized by DFT (GGA+U)

Peak list (6 most intense, 2θ = 10–90°, low angle first)
two_theta  intensity
12.14  43.5
27.56  99.0
28.64  100.0
29.71  84.8
31.38  93.7
40.97  45.4

Atomic structure:
Lattice parameters (Å, degrees): 7.225 7.289 6.014 90.00 90.00 90.00
Fractional positions:
1 K 0.238 0.156 0.000
2 K 0.262 0.844 0.500
3 K 0.738 0.844 0.500
4 K 0.762 0.156 0.000
5 Sr 0.000 0.384 0.488
6 Sr 0.500 0.616 0.988
7 Cr 0.000 0.672 0.980
8 Cr 0.500 0.328 0.480
9 O 0.000 0.438 0.085
10 O 0.000 0.664 0.680
11 O 0.213 0.790 0.060
12 O 0.287 0.210 0.560
13 O 0.500 0.336 0.180
14 O 0.500 0.562 0.585
15 O 0.713 0.210 0.560
16 O 0.787 0.790 0.060


5.
Theoretical powder XRD pattern
Compound: KTaCrO6
Radiation: CuKα
Structure: a structure optimized by DFT (GGA+U)

Peak list (6 most intense, 2θ = 10–90°, low angle first)
two_theta  intensity
14.83  74.4
19.75  40.3
24.79  100.0
34.55  28.3
37.79  27.8
46.35  34.6

Atomic structure:
Lattice parameters (Å, degrees): 5.192 5.192 5.972 90.00 90.00 120.00
Fractional positions:
1 K 0.000 0.000 0.000
2 Ta 0.333 0.667 0.556
3 Cr 0.667 0.333 0.464
4 O 0.402 0.024 0.691
5 O 0.406 0.389 0.327
6 O 0.611 0.016 0.327
7 O 0.622 0.598 0.691
8 O 0.976 0.378 0.691
9 O 0.984 0.594 0.327


6.
Theoretical powder XRD pattern
Compound: KCr2TcO8
Radiation: CuKα
Structure: a structure optimized by DFT (GGA+U)

Peak list (6 most intense, 2θ = 10–90°, low angle first)
two_theta  intensity
11.33  97.4
21.57  100.0
23.27  61.4
29.15  83.3
30.03  37.1
33.76  59.9

Atomic structure:
Lattice parameters (Å, degrees): 5.326 5.326 7.819 92.73 92.73 63.45
Fractional positions:
1 K 0.000 0.000 0.000
2 Cr 0.360 0.360 0.712
3 Cr 0.640 0.640 0.288
4 Tc 0.000 0.000 0.500
5 O 0.206 0.716 0.675
6 O 0.211 0.211 0.574
7 O 0.284 0.794 0.325
8 O 0.315 0.315 0.910
9 O 0.685 0.685 0.090
10 O 0.716 0.206 0.675
11 O 0.789 0.789 0.426
12 O 0.794 0.284 0.325